[1]
CaTb7Dy4: calculated powder XRD pattern (Cu Kα (λ = 1.5418 Å)), based on DFT lattice parameters and positions (PBE).
Neutral-atom scattering factors, no anomalous dispersion.

a = 6.2434 Å, b = 7.2123 Å, c = 8.8744 Å
α = 90.01°, β = 103.47°, γ = 90.00°
Space group P-1 (No. 2)
Symmetry-distinct sites (fractional):
Ca: 0.0000 0.0000 0.0000
Tb: 0.0000 0.5000 0.0000
Tb: 0.2256 0.9998 0.6600
Tb: 0.2818 0.2536 0.3377
Tb: 0.5004 0.2569 0.0004
Dy: 0.2203 0.4996 0.6684
Dy: 0.2825 0.7465 0.3377

Main lines, sorted by position (15 to 90 degrees two-theta):
- (1 2 0), d = 3.100 Å, rel. 34
- (1 2 -1), d = 3.035 Å, rel. 26
- (0 0 3), d = 2.877 Å, rel. 53
- (2 0 -2), d = 2.812 Å, rel. 100
- (2 0 1), d = 2.674 Å, rel. 95
- (3 2 -1), d = 1.803 Å, rel. 40
- (2 0 -5), d = 1.679 Å, rel. 20
- (2 0 4), d = 1.591 Å, rel. 21
- (3 2 2), d = 1.528 Å, rel. 47
- (2 4 -2), d = 1.518 Å, rel. 15



[2]
CaTb5Dy3: calculated powder XRD pattern (Cu Kα (λ = 1.5418 Å)), based on DFT lattice parameters and positions (PBE).
Neutral-atom scattering factors, no anomalous dispersion.

a = 16.9656 Å, b = 9.8399 Å, c = 6.9945 Å
α = 90.00°, β = 90.00°, γ = 90.00°
Space group Cmcm (No. 63)
Symmetry-distinct sites (fractional):
Ca: 0.0000 0.1495 0.2500
Tb: 0.0000 0.1924 0.7500
Tb: 0.1594 0.3510 0.2500
Tb: 0.1761 0.3197 0.7500
Dy: 0.0000 0.5000 0.0000
Dy: 0.1712 0.0000 0.0000

Main lines, sorted by position (15 to 90 degrees two-theta):
- (0 2 2), d = 2.848 Å, rel. 100
- (3 3 0), d = 2.837 Å, rel. 66
- (6 0 0), d = 2.828 Å, rel. 34
- (0 4 2), d = 2.012 Å, rel. 10
- (6 2 2), d = 2.007 Å, rel. 25
- (0 0 4), d = 1.749 Å, rel. 9
- (0 6 0), d = 1.640 Å, rel. 28
- (9 3 0), d = 1.635 Å, rel. 23
- (6 0 4), d = 1.488 Å, rel. 30
- (9 3 4), d = 1.194 Å, rel. 8



[3]
CaTb4Dy4: calculated powder XRD pattern (Cu Kα (λ = 1.5418 Å)), based on DFT lattice parameters and positions (PBE).
Neutral-atom scattering factors, no anomalous dispersion.

a = 6.6265 Å, b = 9.0285 Å, c = 10.5242 Å
α = 106.04°, β = 100.46°, γ = 96.28°
Space group P-1 (No. 2)
Symmetry-distinct sites (fractional):
Ca: 0.0023 0.2574 0.2597
Tb: 0.1279 0.3578 0.6119
Tb: 0.2196 0.9594 0.3988
Tb: 0.3331 0.0747 0.7443
Tb: 0.4035 0.6489 0.9477
Dy: 0.0609 0.3115 0.9315
Dy: 0.2784 0.0256 0.0646
Dy: 0.3360 0.5811 0.2501
Dy: 0.4438 0.6930 0.5903

Main lines, sorted by position (15 to 90 degrees two-theta):
- (1 2 -3), d = 2.891 Å, rel. 31
- (2 1 -2), d = 2.870 Å, rel. 67
- (0 3 0), d = 2.852 Å, rel. 100
- (1 -1 3), d = 2.843 Å, rel. 74
- (-1 1 3), d = 2.830 Å, rel. 80
- (2 -2 0), d = 2.805 Å, rel. 82
- (1 2 3), d = 2.009 Å, rel. 22
- (2 4 -2), d = 1.766 Å, rel. 21
- (3 -3 3), d = 1.629 Å, rel. 40
- (4 2 -2), d = 1.495 Å, rel. 24



[4]
CaTb6Dy6: calculated powder XRD pattern (Cu Kα (λ = 1.5418 Å)), based on DFT lattice parameters and positions (PBE).
Neutral-atom scattering factors, no anomalous dispersion.

a = 6.6797 Å, b = 6.6797 Å, c = 11.4100 Å
α = 90.00°, β = 90.00°, γ = 120.00°
Space group P6/mmm (No. 191)
Symmetry-distinct sites (fractional):
Ca: 0.0000 0.0000 0.0000
Tb: 0.0000 0.5000 0.2475
Dy: 0.0000 0.0000 0.3517
Dy: 0.3333 0.6667 0.0000
Dy: 0.3333 0.6667 0.5000

Main lines, sorted by position (15 to 90 degrees two-theta):
- (1 1 0), d = 3.340 Å, rel. 27
- (2 0 0), d = 2.892 Å, rel. 39
- (1 1 2), d = 2.882 Å, rel. 64
- (0 0 4), d = 2.853 Å, rel. 23
- (2 0 2), d = 2.580 Å, rel. 100
- (1 0 4), d = 2.558 Å, rel. 42
- (2 1 4), d = 1.735 Å, rel. 26
- (2 2 0), d = 1.670 Å, rel. 30
- (1 1 6), d = 1.653 Å, rel. 24
- (2 2 4), d = 1.441 Å, rel. 18



[5]
CaTb14Dy: calculated powder XRD pattern (Cu Kα (λ = 1.5418 Å)), based on DFT lattice parameters and positions (PBE).
Neutral-atom scattering factors, no anomalous dispersion.

a = 11.3691 Å, b = 7.2928 Å, c = 12.6336 Å
α = 90.00°, β = 90.00°, γ = 90.00°
Space group Amm2 (No. 38)
Symmetry-distinct sites (fractional):
Ca: 0.0000 0.0000 0.0000
Tb: 0.0000 0.2489 0.2505
Tb: 0.2477 0.0000 0.3335
Tb: 0.2533 0.0000 0.8310
Tb: 0.2532 0.2466 0.5845
Tb: 0.5000 0.0000 0.9998
Tb: 0.5000 0.0000 0.5000
Tb: 0.5000 0.2500 0.2500
Dy: 0.0000 0.0000 0.4995

Main lines, sorted by position (15 to 90 degrees two-theta):
- (0 2 2), d = 3.158 Å, rel. 24
- (4 0 0), d = 2.842 Å, rel. 24
- (2 2 2), d = 2.761 Å, rel. 100
- (4 2 2), d = 2.113 Å, rel. 16
- (0 4 0), d = 1.823 Å, rel. 20
- (6 2 2), d = 1.625 Å, rel. 20
- (4 4 0), d = 1.535 Å, rel. 23
- (2 4 4), d = 1.521 Å, rel. 16
- (2 6 2), d = 1.168 Å, rel. 14
- (8 4 0), d = 1.121 Å, rel. 8



[6]
CaDy2Te3: calculated powder XRD pattern (Cu Kα (λ = 1.5418 Å)), based on DFT lattice parameters and positions (PBE).
Neutral-atom scattering factors, no anomalous dispersion.

a = 4.3693 Å, b = 6.2045 Å, c = 13.2707 Å
α = 90.00°, β = 90.00°, γ = 90.00°
Space group Immm (No. 71)
Symmetry-distinct sites (fractional):
Ca: 0.0000 0.0000 0.0000
Dy: 0.0000 0.0000 0.3351
Te: 0.0000 0.5000 0.0000
Te: 0.0000 0.5000 0.3313

Main lines, sorted by position (15 to 90 degrees two-theta):
- (1 0 3), d = 3.106 Å, rel. 100
- (0 0 6), d = 2.212 Å, rel. 13
- (1 2 3), d = 2.196 Å, rel. 50
- (2 0 0), d = 2.185 Å, rel. 12
- (0 2 6), d = 1.801 Å, rel. 14
- (2 2 0), d = 1.786 Å, rel. 13
- (2 0 6), d = 1.554 Å, rel. 8
- (1 4 3), d = 1.389 Å, rel. 23
- (1 2 9), d = 1.274 Å, rel. 9
- (3 2 3), d = 1.264 Å, rel. 13



[7]
Ca4Dy3TmTe8: calculated powder XRD pattern (Cu Kα (λ = 1.5418 Å)), based on DFT lattice parameters and positions (PBE).
Neutral-atom scattering factors, no anomalous dispersion.

a = 8.7667 Å, b = 8.7667 Å, c = 21.9371 Å
α = 90.00°, β = 90.00°, γ = 120.00°
Space group R-3m (No. 166, hexagonal axes)
Symmetry-distinct sites (fractional):
Ca: 0.0000 0.0000 0.0000
Ca: 0.0000 0.5000 0.0000
Dy: 0.0000 0.5000 0.5000
Tm: 0.0000 0.0000 0.5000
Te: 0.0000 0.0000 0.2484
Te: 0.0023 0.5011 0.2478

Main lines, sorted by position (15 to 90 degrees two-theta):
- (0 2 1), d = 3.741 Å, rel. 10
- (0 2 4), d = 3.121 Å, rel. 100
- (2 0 8), d = 2.223 Å, rel. 38
- (2 2 0), d = 2.192 Å, rel. 37
- (0 0 12), d = 1.828 Å, rel. 7
- (4 0 4), d = 1.794 Å, rel. 20
- (0 4 8), d = 1.561 Å, rel. 12
- (2 2 12), d = 1.404 Å, rel. 17
- (2 4 4), d = 1.388 Å, rel. 17
- (4 2 8), d = 1.271 Å, rel. 12



[8]
CaDy4TmTe8: calculated powder XRD pattern (Cu Kα (λ = 1.5418 Å)), based on DFT lattice parameters and positions (PBE).
Neutral-atom scattering factors, no anomalous dispersion.

a = 9.0811 Å, b = 9.0811 Å, c = 22.2047 Å
α = 90.00°, β = 90.00°, γ = 120.00°
Space group R3m (No. 160, hexagonal axes)
Symmetry-distinct sites (fractional):
Ca: 0.0000 0.0000 0.0000
Dy: 0.0000 0.0000 0.7508
Dy: 0.0055 0.5028 0.8760
Tm: 0.0000 0.0000 0.3729
Te: 0.0000 0.0000 0.1348
Te: 0.0000 0.0000 0.6177
Te: 0.0238 0.5119 0.1269
Te: 0.1803 0.3607 0.9564

Main lines, sorted by position (15 to 90 degrees two-theta):
- (0 1 5), d = 3.870 Å, rel. 51
- (0 2 4), d = 3.209 Å, rel. 81
- (1 2 5), d = 2.470 Å, rel. 37
- (2 0 8), d = 2.269 Å, rel. 100
- (0 0 12), d = 1.853 Å, rel. 21
- (1 0 13), d = 1.671 Å, rel. 13
- (0 4 8), d = 1.604 Å, rel. 16
- (2 2 12), d = 1.435 Å, rel. 25
- (4 2 8), d = 1.310 Å, rel. 23
- (3 2 13), d = 1.241 Å, rel. 11



[9]
Ca2DyYTe4: calculated powder XRD pattern (Cu Kα (λ = 1.5418 Å)), based on DFT lattice parameters and positions (PBE).
Neutral-atom scattering factors, no anomalous dispersion.

a = 7.6031 Å, b = 4.3939 Å, c = 7.7678 Å
α = 90.00°, β = 109.12°, γ = 90.00°
Space group P2/m (No. 10)
Symmetry-distinct sites (fractional):
Ca: 0.0000 0.0000 0.0000
Ca: 0.5000 0.5000 0.0000
Dy: 0.0000 0.5000 0.5000
Y: 0.5000 0.0000 0.5000
Te: 0.2481 0.0000 0.7452
Te: 0.2509 0.5000 0.2545

Main lines, sorted by position (15 to 90 degrees two-theta):
- (1 1 1), d = 3.129 Å, rel. 100
- (2 0 2), d = 2.230 Å, rel. 38
- (0 2 0), d = 2.196 Å, rel. 37
- (0 0 4), d = 1.835 Å, rel. 7
- (4 0 0), d = 1.797 Å, rel. 20
- (2 2 2), d = 1.565 Å, rel. 12
- (3 1 3), d = 1.408 Å, rel. 17
- (4 2 0), d = 1.391 Å, rel. 17
- (1 1 5), d = 1.294 Å, rel. 6
- (4 2 -4), d = 1.275 Å, rel. 8



[10]
CaDy2Th: calculated powder XRD pattern (Cu Kα (λ = 1.5418 Å)), based on DFT lattice parameters and positions (PBE).
Neutral-atom scattering factors, no anomalous dispersion.

a = 3.6138 Å, b = 3.6138 Å, c = 35.6753 Å
α = 90.00°, β = 90.00°, γ = 120.00°
Space group R3m (No. 160, hexagonal axes)
Symmetry-distinct sites (fractional):
Ca: 0.0000 0.0000 0.0000
Dy: 0.0000 0.0000 0.5770
Dy: 0.0000 0.0000 0.7549
Th: 0.0000 0.0000 0.1657

Main lines, sorted by position (15 to 90 degrees two-theta):
- (0 1 2), d = 3.083 Å, rel. 48
- (0 0 12), d = 2.973 Å, rel. 38
- (0 1 5), d = 2.866 Å, rel. 100
- (1 0 7), d = 2.667 Å, rel. 63
- (1 0 10), d = 2.353 Å, rel. 39
- (1 1 0), d = 1.807 Å, rel. 30
- (0 1 17), d = 1.743 Å, rel. 25
- (1 1 12), d = 1.544 Å, rel. 33
- (2 0 5), d = 1.529 Å, rel. 15
- (1 0 22), d = 1.439 Å, rel. 21



[11]
Ca2Dy3Tl4: calculated powder XRD pattern (Cu Kα (λ = 1.5418 Å)), based on DFT lattice parameters and positions (PBE).
Neutral-atom scattering factors, no anomalous dispersion.

a = 7.2673 Å, b = 16.9048 Å, c = 9.1210 Å
α = 90.00°, β = 90.00°, γ = 90.00°
Space group Cmce (No. 64)
Symmetry-distinct sites (fractional):
Ca: 0.0000 0.1094 0.0783
Dy: 0.0000 0.0000 0.5000
Dy: 0.2500 0.2166 0.7500
Tl: 0.0000 0.1862 0.4632
Tl: 0.2500 0.0360 0.7500

Main lines, sorted by position (15 to 90 degrees two-theta):
- (1 1 1), d = 5.387 Å, rel. 36
- (0 4 0), d = 4.226 Å, rel. 23
- (2 2 1), d = 3.135 Å, rel. 26
- (1 5 1), d = 2.906 Å, rel. 44
- (0 2 3), d = 2.861 Å, rel. 20
- (2 0 2), d = 2.842 Å, rel. 100
- (0 6 1), d = 2.692 Å, rel. 23
- (2 4 2), d = 2.358 Å, rel. 23
- (0 0 4), d = 2.280 Å, rel. 20
- (2 6 1), d = 2.162 Å, rel. 42



[12]
CaDy2YTl4: calculated powder XRD pattern (Cu Kα (λ = 1.5418 Å)), based on DFT lattice parameters and positions (PBE).
Neutral-atom scattering factors, no anomalous dispersion.

a = 5.3913 Å, b = 5.3913 Å, c = 26.5065 Å
α = 90.00°, β = 90.00°, γ = 120.00°
Space group R-3m (No. 166, hexagonal axes)
Symmetry-distinct sites (fractional):
Ca: 0.0000 0.0000 0.0000
Dy: 0.0000 0.0000 0.2522
Y: 0.0000 0.0000 0.5000
Tl: 0.0000 0.0000 0.1261
Tl: 0.0000 0.0000 0.3764

Main lines, sorted by position (15 to 90 degrees two-theta):
- (0 0 6), d = 4.407 Å, rel. 5
- (1 0 4), d = 3.817 Å, rel. 9
- (1 1 0), d = 2.699 Å, rel. 100
- (2 0 8), d = 1.908 Å, rel. 18
- (1 0 16), d = 1.561 Å, rel. 9
- (3 0 0), d = 1.557 Å, rel. 29
- (0 2 16), d = 1.351 Å, rel. 6
- (2 2 0), d = 1.348 Å, rel. 6
- (2 1 16), d = 1.208 Å, rel. 8
- (3 1 8), d = 1.206 Å, rel. 8



[13]
CaDy6Tm12: calculated powder XRD pattern (Cu Kα (λ = 1.5418 Å)), based on DFT lattice parameters and positions (PBE).
Neutral-atom scattering factors, no anomalous dispersion.

a = 14.7433 Å, b = 14.7433 Å, c = 10.3696 Å
α = 90.00°, β = 90.00°, γ = 120.00°
Space group R-3m (No. 166, hexagonal axes)
Symmetry-distinct sites (fractional):
Ca: 0.0000 0.0000 0.0000
Dy: 0.0682 0.5341 0.2236
Tm: 0.0000 0.3867 0.5000
Tm: 0.0784 0.1567 0.2645

Main lines, sorted by position (15 to 90 degrees two-theta):
- (1 3 1), d = 3.351 Å, rel. 57
- (1 1 3), d = 3.130 Å, rel. 28
- (3 2 1), d = 2.819 Å, rel. 100
- (0 3 3), d = 2.683 Å, rel. 64
- (2 3 2), d = 2.550 Å, rel. 61
- (0 2 4), d = 2.402 Å, rel. 28
- (5 0 2), d = 2.291 Å, rel. 37
- (5 0 5), d = 1.610 Å, rel. 22
- (0 8 1), d = 1.577 Å, rel. 22
- (3 5 4), d = 1.492 Å, rel. 30